(1)
Starting from the GGA+U geometry in Alexandria, the powder X-ray diffraction pattern of LiV2F6 was computed for Cu Kα, 1.54184 Å.
Kinematic intensities with the Lorentz-polarization factor, no thermal factor.

Crystal structure
a = 4.769 Å, b = 4.769 Å, c = 9.455 Å
α = 90.00°, β = 90.00°, γ = 90.00°
Positions (direct):
Li 0.000 0.000 0.000
Li 0.500 0.500 0.500
V 0.000 0.000 0.333
V 0.000 0.000 0.667
V 0.500 0.500 0.167
V 0.500 0.500 0.833
F 0.194 0.194 0.500
F 0.199 0.199 0.169
F 0.199 0.199 0.831
F 0.301 0.699 0.331
F 0.301 0.699 0.669
F 0.306 0.694 0.000
F 0.694 0.306 0.000
F 0.699 0.301 0.331
F 0.699 0.301 0.669
F 0.801 0.801 0.169
F 0.801 0.801 0.831
F 0.806 0.806 0.500

Largest 6 diffraction maxima, in order of rising 2θ, 2θ = 10–90°:
| hkl | 2theta | d (Å) | I (rel.) |
| --- | --- | --- | --- |
| 1 0 1 | 20.9 | 4.258 | 55 |
| 1 1 0 | 26.4 | 3.372 | 100 |
| 1 0 3 | 34.1 | 2.629 | 32 |
| 1 1 3 | 39.1 | 2.303 | 52 |
| 2 1 3 | 51.8 | 1.766 | 70 |
| 3 0 3 | 65.8 | 1.419 | 32 |


(2)
Starting from the GGA+U geometry in Alexandria, the powder X-ray diffraction pattern of Li3VF6 was computed for Cu Kα, 1.54184 Å.
Kinematic intensities with the Lorentz-polarization factor, no thermal factor.

Crystal structure
a = 9.739 Å, b = 8.617 Å, c = 5.121 Å
α = 90.00°, β = 90.00°, γ = 90.00°
Positions (direct):
Li 0.101 0.055 0.000
Li 0.125 0.640 0.508
Li 0.148 0.450 0.003
Li 0.352 0.950 0.503
Li 0.375 0.140 0.008
Li 0.399 0.555 0.500
Li 0.601 0.445 0.000
Li 0.625 0.860 0.508
Li 0.648 0.050 0.003
Li 0.852 0.550 0.503
Li 0.875 0.360 0.008
Li 0.899 0.945 0.500
V 0.129 0.261 0.502
V 0.371 0.761 0.002
V 0.629 0.239 0.502
V 0.871 0.739 0.002
F 0.009 0.417 0.322
F 0.023 0.092 0.350
F 0.024 0.256 0.832
F 0.229 0.442 0.648
F 0.241 0.268 0.181
F 0.248 0.612 0.185
F 0.252 0.112 0.685
F 0.259 0.768 0.681
F 0.271 0.942 0.148
F 0.476 0.756 0.332
F 0.477 0.592 0.850
F 0.491 0.917 0.822
F 0.509 0.083 0.322
F 0.523 0.408 0.350
F 0.524 0.244 0.832
F 0.729 0.058 0.648
F 0.741 0.232 0.181
F 0.748 0.888 0.185
F 0.752 0.388 0.685
F 0.759 0.732 0.681
F 0.771 0.558 0.148
F 0.976 0.744 0.332
F 0.977 0.908 0.850
F 0.991 0.583 0.822

Largest 6 diffraction maxima, in order of rising 2θ, 2θ = 10–90°:
| hkl | 2theta | d (Å) | I (rel.) |
| --- | --- | --- | --- |
| 0 1 1 | 20.2 | 4.402 | 54 |
| 2 1 0 | 21.0 | 4.239 | 100 |
| 2 2 1 | 32.8 | 2.730 | 39 |
| 2 0 2 | 39.8 | 2.266 | 40 |
| 2 3 1 | 40.5 | 2.228 | 71 |
| 4 3 1 | 52.4 | 1.746 | 39 |


(3)
Starting from the GGA+U geometry in Alexandria, the powder X-ray diffraction pattern of LiVF6 was computed for Cu Kα, 1.54184 Å.
Kinematic intensities with the Lorentz-polarization factor, no thermal factor.

Crystal structure
a = 4.955 Å, b = 4.955 Å, c = 4.619 Å
α = 90.00°, β = 90.00°, γ = 120.00°
Positions (direct):
Li 0.000 0.000 0.000
V 0.333 0.667 0.500
F 0.044 0.360 0.270
F 0.044 0.684 0.730
F 0.316 0.360 0.730
F 0.316 0.956 0.270
F 0.640 0.684 0.270
F 0.640 0.956 0.730

Largest 6 diffraction maxima, in order of rising 2θ, 2θ = 10–90°:
| hkl | 2theta | d (Å) | I (rel.) |
| --- | --- | --- | --- |
| 0 0 1 | 19.2 | 4.619 | 35 |
| 1 0 0 | 20.7 | 4.291 | 100 |
| 1 0 1 | 28.4 | 3.144 | 63 |
| 1 1 1 | 41.4 | 2.183 | 73 |
| 1 1 2 | 54.3 | 1.689 | 34 |
| 2 1 1 | 60.5 | 1.530 | 16 |


(4)
Starting from the GGA+U geometry in Alexandria, the powder X-ray diffraction pattern of Li2VF4 was computed for Cu Kα, 1.54184 Å.
Kinematic intensities with the Lorentz-polarization factor, no thermal factor.

Crystal structure
a = 5.479 Å, b = 5.766 Å, c = 11.132 Å
α = 90.00°, β = 114.73°, γ = 90.00°
Positions (direct):
Li 0.091 0.140 0.300
Li 0.091 0.360 0.800
Li 0.409 0.141 0.699
Li 0.409 0.359 0.199
Li 0.591 0.641 0.801
Li 0.591 0.859 0.301
Li 0.909 0.640 0.200
Li 0.909 0.860 0.700
V 0.250 0.643 0.500
V 0.250 0.857 0.000
V 0.750 0.143 0.000
V 0.750 0.357 0.500
F 0.026 0.615 0.617
F 0.026 0.885 0.117
F 0.027 0.136 0.645
F 0.027 0.364 0.145
F 0.473 0.138 0.354
F 0.473 0.362 0.854
F 0.474 0.617 0.385
F 0.474 0.883 0.885
F 0.526 0.117 0.115
F 0.526 0.383 0.615
F 0.527 0.638 0.146
F 0.527 0.862 0.646
F 0.973 0.636 0.855
F 0.973 0.864 0.355
F 0.974 0.115 0.883
F 0.974 0.385 0.383

Largest 6 diffraction maxima, in order of rising 2θ, 2θ = 10–90°:
| hkl | 2theta | d (Å) | I (rel.) |
| --- | --- | --- | --- |
| 0 0 2 | 17.5 | 5.055 | 46 |
| 0 1 1 | 17.7 | 5.009 | 91 |
| 1 1 0 | 23.6 | 3.767 | 41 |
| 1 1 -2 | 24.6 | 3.620 | 60 |
| 2 0 -4 | 38.7 | 2.325 | 56 |
| 1 2 1 | 39.0 | 2.312 | 100 |